This entry pairs a crystal structure of K2Mg5Cu3As6O24 with its simulated powder diffraction line list. Radiation: Cu Kα (weighted mean of Kα1 and Kα2). Structure: the GGA-PBE geometry in Alexandria.

Atomic structure:
abc: 6.8570 8.9022 8.9677
angles: 92.36 105.24 105.85
Fractional positions:
K 0.0000 0.0000 0.0000
K 0.4939 0.9637 0.0297
Mg 0.1188 0.5969 0.9560
Mg 0.4929 0.2326 0.7579
Mg 0.6170 0.9172 0.6417
Mg 0.8744 0.0388 0.3929
Mg 0.9960 0.7216 0.2737
Cu 0.4014 0.3621 0.0912
Cu 0.4943 0.4834 0.5189
Cu 0.9945 0.4751 0.5181
As 0.1166 0.8532 0.6628
As 0.3751 0.1041 0.3698
As 0.4950 0.6959 0.3049
As 0.6236 0.6214 0.8970
As 0.8741 0.3310 0.1404
As 0.9972 0.2606 0.7288
O 0.0160 0.4611 0.7416
O 0.0595 0.7015 0.5145
O 0.0663 0.3824 0.0457
O 0.1215 0.7896 0.8395
O 0.1283 0.9720 0.3444
O 0.2190 0.2180 0.8321
O 0.2700 0.7286 0.1903
O 0.3633 0.9838 0.6831
O 0.3727 0.1670 0.1906
O 0.4289 0.2551 0.5172
O 0.4286 0.5633 0.9924
O 0.4829 0.4960 0.2999
O 0.5035 0.7054 0.5019
O 0.5654 0.0082 0.4209
O 0.5685 0.4763 0.7438
O 0.6207 0.7986 0.8348
O 0.6276 0.3077 0.0068
O 0.7224 0.8044 0.2670
O 0.7679 0.1513 0.7651
O 0.8646 0.1522 0.2018
O 0.8684 0.6460 0.0272
O 0.9220 0.9451 0.6084
O 0.9256 0.4780 0.2920
O 0.9779 0.2527 0.5294

Principal peaks in the range 10 to 80 degrees two-theta, low angle first:
two_theta  I/Imax
21.46  224
23.20  266
26.42  217
27.09  1000
28.23  570
31.37  701
31.75  627
32.04  670
33.18  310
45.84  229
53.88  394
59.94  246

---

This entry pairs a crystal structure of RbBa4Sb3O with its simulated powder diffraction line list. Radiation: Cu Kα (weighted mean of Kα1 and Kα2). Structure: the GGA-PBE geometry in Alexandria.

Atomic structure:
abc: 10.5602 10.5602 10.5602
angles: 129.12 129.12 74.82
Fractional positions:
Rb 0.0000 0.0000 0.0000
Rb 0.5000 0.5000 0.0000
Ba 0.0022 0.5022 0.8130
Ba 0.1892 0.0022 0.5000
Ba 0.3108 0.8108 0.8130
Ba 0.4978 0.3108 0.5000
Ba 0.5022 0.6892 0.5000
Ba 0.6892 0.1892 0.1870
Ba 0.8108 0.9978 0.5000
Ba 0.9978 0.4978 0.1870
Sb 0.1136 0.3864 0.5000
Sb 0.2500 0.2500 0.0000
Sb 0.3864 0.8864 0.2728
Sb 0.6136 0.1136 0.7272
Sb 0.7500 0.7500 0.0000
Sb 0.8864 0.6136 0.5000
O 0.2500 0.7500 0.5000
O 0.7500 0.2500 0.5000

Principal peaks in the range 10 to 80 degrees two-theta, low angle first:
two_theta  I/Imax
27.15  1000
27.81  74
28.99  235
31.17  383
32.01  118
35.01  76
39.26  104
45.29  91
47.75  105
51.91  101
54.16  152
57.09  128